Entry 1:
Diffraction record for Bi2Rh2O7. The X-ray powder pattern is theoretical, not measured: it uses a GGA-PBE-relaxed structure and CuKα.
Kinematic intensities with the Lorentz-polarization factor, no thermal factor.

Most intense lines, 10° ≤ 2θ ≤ 90°, low angle first:
two_theta  intensity
29.76  100
34.50  36
49.58  46
58.91  44
80.52  19
83.06  16

Atomic structure:
a b c (Å): 7.354 7.354 7.354
angles (deg): 60.00 60.00 60.00
Atoms (fractional coordinates):
Bi  0.000  0.000  0.000
Bi  0.000  0.000  0.500
Bi  0.000  0.500  0.000
Bi  0.500  0.000  0.000
Rh  0.000  0.500  0.500
Rh  0.500  0.000  0.500
Rh  0.500  0.500  0.000
Rh  0.500  0.500  0.500
O  0.125  0.125  0.125
O  0.168  0.168  0.582
O  0.168  0.582  0.168
O  0.168  0.582  0.582
O  0.418  0.418  0.832
O  0.418  0.832  0.418
O  0.418  0.832  0.832
O  0.582  0.168  0.168
O  0.582  0.168  0.582
O  0.582  0.582  0.168
O  0.832  0.418  0.418
O  0.832  0.418  0.832
O  0.832  0.832  0.418
O  0.875  0.875  0.875



Entry 2:
Diffraction record for Bi2Ru2O7. The X-ray powder pattern is theoretical, not measured: it uses a GGA-PBE-relaxed structure and CuKα.
Kinematic intensities with the Lorentz-polarization factor, no thermal factor.

Most intense lines, 10° ≤ 2θ ≤ 90°, low angle first:
two_theta  intensity
29.78  100
34.52  36
49.62  45
58.95  44
80.58  18
83.12  16

Atomic structure:
a b c (Å): 7.349 7.349 7.349
angles (deg): 60.00 60.00 60.00
Atoms (fractional coordinates):
Bi  0.000  0.000  0.000
Bi  0.000  0.000  0.500
Bi  0.000  0.500  0.000
Bi  0.500  0.000  0.000
Ru  0.000  0.500  0.500
Ru  0.500  0.000  0.500
Ru  0.500  0.500  0.000
Ru  0.500  0.500  0.500
O  0.125  0.125  0.125
O  0.171  0.171  0.579
O  0.171  0.579  0.171
O  0.171  0.579  0.579
O  0.421  0.421  0.829
O  0.421  0.829  0.421
O  0.421  0.829  0.829
O  0.579  0.171  0.171
O  0.579  0.171  0.579
O  0.579  0.579  0.171
O  0.829  0.421  0.421
O  0.829  0.421  0.829
O  0.829  0.829  0.421
O  0.875  0.875  0.875